[1]
# GaCu3Rh4
Theoretical X-ray powder pattern, λ = 1.5418 Å (Cu Kα). Input: a crystal structure in Alexandria, relaxed with GGA-PBE.
Kinematic intensities with the Lorentz-polarization factor, no thermal factor.

```
data_GaCu3Rh4
_cell_length_a 4.2267
_cell_length_b 4.2267
_cell_length_c 12.0263
_cell_angle_alpha 90.00
_cell_angle_beta 90.00
_cell_angle_gamma 90.00
_symmetry_space_group_name_H-M 'I 4/m m m'
_symmetry_Int_Tables_number 139
_symmetry_space_group_name_Hall '-I 4 2'
loop_
_atom_site_label
_atom_site_type_symbol
_atom_site_fract_x
_atom_site_fract_y
_atom_site_fract_z
Ga1 Ga 0.0000 0.0000 0.0000
Cu1 Cu 0.0000 0.0000 0.2530
Cu2 Cu 0.0000 0.0000 0.5000
Rh1 Rh 0.0000 0.5000 0.1242
```

Top 11 peaks for 2θ from 10° to 90°, sorted by position:
- hkl 0 0 4, 2θ 29.71, I = 2.8
- hkl 1 1 0, 2θ 29.90, I = 5.4
- hkl 1 1 4, 2θ 42.66, I = 100.0
- hkl 2 0 0, 2θ 42.79, I = 49.6
- hkl 2 0 4, 2θ 52.96, I = 2.3
- hkl 0 0 8, 2θ 61.70, I = 8.0
- hkl 2 2 0, 2θ 62.11, I = 15.7
- hkl 1 1 8, 2θ 70.07, I = 1.0
- hkl 2 2 4, 2θ 70.40, I = 2.0
- hkl 2 0 8, 2θ 78.00, I = 15.7
- hkl 3 1 4, 2θ 78.28, I = 31.2

---

[2]
# Ga5CuRh6
Theoretical X-ray powder pattern, λ = 1.5418 Å (Cu Kα). Input: a crystal structure in Alexandria, relaxed with GGA-PBE.
Kinematic intensities with the Lorentz-polarization factor, no thermal factor.

```
data_Ga5CuRh6
_cell_length_a 4.2754
_cell_length_b 12.8493
_cell_length_c 6.0531
_cell_angle_alpha 90.00
_cell_angle_beta 90.00
_cell_angle_gamma 90.00
_symmetry_space_group_name_H-M 'C m m m'
_symmetry_Int_Tables_number 65
_symmetry_space_group_name_Hall '-C 2 2'
loop_
_atom_site_label
_atom_site_type_symbol
_atom_site_fract_x
_atom_site_fract_y
_atom_site_fract_z
Ga1 Ga 0.0000 0.0000 0.0000
Ga2 Ga 0.0000 0.3330 0.0000
Ga3 Ga 0.0000 0.3399 0.5000
Cu1 Cu 0.0000 0.0000 0.5000
Rh1 Rh 0.0000 0.1693 0.2501
Rh2 Rh 0.0000 0.5000 0.2434
```

Top 7 peaks for 2θ from 10° to 90°, sorted by position:
- hkl 1 3 0, 2θ 29.52, I = 4.6
- hkl 2 0 0, 2θ 42.23, I = 100.0
- hkl 0 6 2, 2θ 52.37, I = 1.2
- hkl 0 0 4, 2θ 61.26, I = 16.0
- hkl 1 9 0, 2θ 69.44, I = 1.3
- hkl 2 0 4, 2θ 77.19, I = 21.1
- hkl 3 3 2, 2θ 77.28, I = 10.7

---

[3]
# TmGa4CuRu2
Theoretical X-ray powder pattern, λ = 1.5418 Å (Cu Kα). Input: a crystal structure in Alexandria, relaxed with GGA-PBE.
Kinematic intensities with the Lorentz-polarization factor, no thermal factor.

```
data_TmGa4CuRu2
_cell_length_a 4.2466
_cell_length_b 4.2466
_cell_length_c 25.0153
_cell_angle_alpha 90.00
_cell_angle_beta 90.00
_cell_angle_gamma 120.00
_symmetry_space_group_name_H-M 'R -3 m'
_symmetry_Int_Tables_number 166
_symmetry_space_group_name_Hall '-R 3 2"'
loop_
_atom_site_label
_atom_site_type_symbol
_atom_site_fract_x
_atom_site_fract_y
_atom_site_fract_z
Tm1 Tm 0.0000 0.0000 0.0000
Ga1 Ga 0.0000 0.0000 0.1288
Ga2 Ga 0.0000 0.0000 0.3965
Cu1 Cu 0.0000 0.0000 0.5000
Ru1 Ru 0.0000 0.0000 0.2323
```

Top 12 peaks for 2θ from 10° to 90°, sorted by position:
- hkl 1 0 1, 2θ 24.46, I = 8.8
- hkl 1 0 4, 2θ 28.15, I = 13.0
- hkl 0 1 5, 2θ 30.16, I = 32.6
- hkl 0 1 8, 2θ 37.76, I = 87.4
- hkl 1 1 0, 2θ 42.58, I = 100.0
- hkl 1 0 10, 2θ 43.77, I = 11.1
- hkl 0 1 11, 2θ 46.98, I = 13.6
- hkl 1 0 13, 2θ 53.76, I = 9.5
- hkl 1 1 9, 2θ 54.37, I = 8.7
- hkl 2 0 8, 2θ 58.20, I = 24.1
- hkl 1 2 8, 2θ 74.74, I = 22.5
- hkl 3 0 0, 2θ 77.93, I = 16.1

---

[4]
# TlGaCu2S4
Theoretical X-ray powder pattern, λ = 1.5418 Å (Cu Kα). Input: a crystal structure in Alexandria, relaxed with GGA-PBE.
Kinematic intensities with the Lorentz-polarization factor, no thermal factor.

```
data_TlGaCu2S4
_cell_length_a 5.5642
_cell_length_b 5.5642
_cell_length_c 10.8332
_cell_angle_alpha 90.00
_cell_angle_beta 90.00
_cell_angle_gamma 90.00
_symmetry_space_group_name_H-M 'I -4 2 m'
_symmetry_Int_Tables_number 121
_symmetry_space_group_name_Hall 'I -4 2'
loop_
_atom_site_label
_atom_site_type_symbol
_atom_site_fract_x
_atom_site_fract_y
_atom_site_fract_z
Tl1 Tl 0.0000 0.0000 0.0000
Ga1 Ga 0.0000 0.0000 0.5000
Cu1 Cu 0.0000 0.5000 0.2500
S1 S 0.2274 0.2274 0.3623
```

Top 12 peaks for 2θ from 10° to 90°, sorted by position:
- hkl 1 0 1, 2θ 17.92, I = 18.9
- hkl 1 1 0, 2θ 22.60, I = 8.2
- hkl 1 1 2, 2θ 28.03, I = 100.0
- hkl 1 0 3, 2θ 29.49, I = 9.4
- hkl 2 0 0, 2θ 32.17, I = 15.0
- hkl 2 1 1, 2θ 37.07, I = 10.0
- hkl 2 2 0, 2θ 46.14, I = 19.0
- hkl 2 0 4, 2θ 46.81, I = 36.2
- hkl 3 1 2, 2θ 54.86, I = 29.5
- hkl 1 1 6, 2θ 56.04, I = 13.8
- hkl 3 1 6, 2θ 75.44, I = 10.8
- hkl 4 2 4, 2θ 85.98, I = 11.4

---

[5]
# ScGa2Cu6
Theoretical X-ray powder pattern, λ = 1.5418 Å (Cu Kα). Input: a crystal structure in Alexandria, relaxed with GGA-PBE.
Kinematic intensities with the Lorentz-polarization factor, no thermal factor.

```
data_ScGa2Cu6
_cell_length_a 2.9728
_cell_length_b 7.1276
_cell_length_c 12.3406
_cell_angle_alpha 90.00
_cell_angle_beta 90.00
_cell_angle_gamma 90.00
_symmetry_space_group_name_H-M 'I m m m'
_symmetry_Int_Tables_number 71
_symmetry_space_group_name_Hall '-I 2 2'
loop_
_atom_site_label
_atom_site_type_symbol
_atom_site_fract_x
_atom_site_fract_y
_atom_site_fract_z
Sc1 Sc 0.0000 0.0000 0.0000
Ga1 Ga 0.0000 0.5000 0.1477
Cu1 Cu 0.0000 0.1702 0.5000
Cu2 Cu 0.0000 0.3238 0.3246
```

Top 12 peaks for 2θ from 10° to 90°, sorted by position:
- hkl 1 1 0, 2θ 32.64, I = 11.9
- hkl 1 1 2, 2θ 35.82, I = 37.1
- hkl 1 2 1, 2θ 40.17, I = 41.6
- hkl 0 3 3, 2θ 44.02, I = 100.0
- hkl 1 1 4, 2θ 44.17, I = 29.2
- hkl 1 2 3, 2θ 45.44, I = 12.3
- hkl 1 0 5, 2θ 47.90, I = 14.2
- hkl 1 3 2, 2θ 51.41, I = 11.2
- hkl 2 0 0, 2θ 62.48, I = 12.0
- hkl 2 3 3, 2θ 79.56, I = 30.9
- hkl 0 6 0, 2θ 80.94, I = 12.2
- hkl 1 3 8, 2θ 81.05, I = 14.2

---

[6]
# ScGaCu5
Theoretical X-ray powder pattern, λ = 1.5418 Å (Cu Kα). Input: a crystal structure in Alexandria, relaxed with GGA-PBE.
Kinematic intensities with the Lorentz-polarization factor, no thermal factor.

```
data_ScGaCu5
_cell_length_a 7.9273
_cell_length_b 4.9293
_cell_length_c 10.0456
_cell_angle_alpha 90.00
_cell_angle_beta 90.00
_cell_angle_gamma 90.00
_symmetry_space_group_name_H-M 'P n m a'
_symmetry_Int_Tables_number 62
loop_
_symmetry_equiv_pos_as_xyz
'x,y,z'
'-x,-y,-z'
'-x+1/2,-y,z+1/2'
'x+1/2,y,-z+1/2'
'x+1/2,-y+1/2,-z+1/2'
'-x+1/2,y+1/2,z+1/2'
'-x,y+1/2,-z'
'x,-y+1/2,z'
loop_
_atom_site_label
_atom_site_type_symbol
_atom_site_fract_x
_atom_site_fract_y
_atom_site_fract_z
Sc1 Sc 0.2456 0.2500 0.0635
Ga1 Ga 0.1449 0.7500 0.8528
Cu1 Cu 0.0610 0.7500 0.0849
Cu2 Cu 0.0642 0.0063 0.3057
Cu3 Cu 0.0944 0.2500 0.5172
Cu4 Cu 0.1859 0.2500 0.7540
```

Top 12 peaks for 2θ from 10° to 90°, sorted by position:
- hkl 1 1 1, 2θ 23.02, I = 20.2
- hkl 0 2 0, 2θ 36.46, I = 19.6
- hkl 1 0 4, 2θ 37.57, I = 30.7
- hkl 3 1 1, 2θ 39.72, I = 100.0
- hkl 0 2 2, 2θ 40.78, I = 17.7
- hkl 2 2 1, 2θ 44.20, I = 42.1
- hkl 1 0 5, 2θ 46.62, I = 70.0
- hkl 4 0 1, 2θ 46.72, I = 34.9
- hkl 2 2 2, 2θ 47.04, I = 22.0
- hkl 1 2 3, 2θ 47.20, I = 45.8
- hkl 3 3 1, 2θ 67.80, I = 16.7
- hkl 5 2 2, 2θ 73.48, I = 15.7

---

[7]
# ScGa4Cu6
Theoretical X-ray powder pattern, λ = 1.5418 Å (Cu Kα). Input: a crystal structure in Alexandria, relaxed with GGA-PBE.
Kinematic intensities with the Lorentz-polarization factor, no thermal factor.

```
data_ScGa4Cu6
_cell_length_a 6.8767
_cell_length_b 6.8767
_cell_length_c 3.9620
_cell_angle_alpha 90.00
_cell_angle_beta 90.00
_cell_angle_gamma 120.00
_symmetry_space_group_name_H-M 'P -6 m 2'
_symmetry_Int_Tables_number 187
_symmetry_space_group_name_Hall 'P -6 2'
loop_
_atom_site_label
_atom_site_type_symbol
_atom_site_fract_x
_atom_site_fract_y
_atom_site_fract_z
Sc1 Sc 0.0000 0.0000 0.0000
Ga1 Ga 0.3333 0.6667 0.0000
Ga2 Ga 0.3814 0.1907 0.5000
Cu1 Cu 0.2083 0.4167 0.5000
Cu2 Cu 0.5400 0.0800 0.0000
```

Top 12 peaks for 2θ from 10° to 90°, sorted by position:
- hkl 1 0 0, 2θ 14.88, I = 30.9
- hkl 1 1 1, 2θ 34.54, I = 31.0
- hkl 2 0 1, 2θ 37.79, I = 100.0
- hkl 2 1 0, 2θ 40.06, I = 35.5
- hkl 3 0 0, 2θ 45.70, I = 16.0
- hkl 0 0 2, 2θ 45.80, I = 42.9
- hkl 2 1 1, 2θ 46.40, I = 96.6
- hkl 3 0 1, 2θ 51.49, I = 17.9
- hkl 2 2 0, 2θ 53.29, I = 26.1
- hkl 2 1 2, 2θ 62.44, I = 20.9
- hkl 2 2 2, 2θ 72.84, I = 20.1
- hkl 5 0 1, 2θ 85.04, I = 20.1

---

[8]
# Sc5Ga4Cu
Theoretical X-ray powder pattern, λ = 1.5418 Å (Cu Kα). Input: a crystal structure in Alexandria, relaxed with GGA-PBE.
Kinematic intensities with the Lorentz-polarization factor, no thermal factor.

```
data_Sc5Ga4Cu
_cell_length_a 3.2286
_cell_length_b 3.2286
_cell_length_c 17.9120
_cell_angle_alpha 90.00
_cell_angle_beta 90.00
_cell_angle_gamma 90.00
_symmetry_space_group_name_H-M 'P 4/m m m'
_symmetry_Int_Tables_number 123
_symmetry_space_group_name_Hall '-P 4 2'
loop_
_atom_site_label
_atom_site_type_symbol
_atom_site_fract_x
_atom_site_fract_y
_atom_site_fract_z
Sc1 Sc 0.0000 0.0000 0.0000
Sc2 Sc 0.0000 0.0000 0.2050
Sc3 Sc 0.0000 0.0000 0.4085
Ga1 Ga 0.5000 0.5000 0.1026
Ga2 Ga 0.5000 0.5000 0.3080
Cu1 Cu 0.5000 0.5000 0.5000
```

Top 12 peaks for 2θ from 10° to 90°, sorted by position:
- hkl 0 0 5, 2θ 24.85, I = 3.9
- hkl 1 0 0, 2θ 27.63, I = 6.3
- hkl 1 0 5, 2θ 37.50, I = 100.0
- hkl 1 1 0, 2θ 39.47, I = 44.5
- hkl 1 1 5, 2θ 47.21, I = 3.3
- hkl 0 0 10, 2θ 50.98, I = 8.9
- hkl 2 0 0, 2θ 57.05, I = 14.2
- hkl 1 1 10, 2θ 66.33, I = 15.3
- hkl 2 1 5, 2θ 70.29, I = 28.1
- hkl 2 0 10, 2θ 80.01, I = 8.7
- hkl 2 2 0, 2θ 84.97, I = 4.2
- hkl 1 0 15, 2θ 87.00, I = 6.0

---

[9]
# Sc3Ga2Cu2
Theoretical X-ray powder pattern, λ = 1.5418 Å (Cu Kα). Input: a crystal structure in Alexandria, relaxed with GGA-PBE.
Kinematic intensities with the Lorentz-polarization factor, no thermal factor.

```
data_Sc3Ga2Cu2
_cell_length_a 3.3598
_cell_length_b 4.2612
_cell_length_c 17.6911
_cell_angle_alpha 90.00
_cell_angle_beta 90.00
_cell_angle_gamma 90.00
_symmetry_space_group_name_H-M 'I m m m'
_symmetry_Int_Tables_number 71
_symmetry_space_group_name_Hall '-I 2 2'
loop_
_atom_site_label
_atom_site_type_symbol
_atom_site_fract_x
_atom_site_fract_y
_atom_site_fract_z
Sc1 Sc 0.0000 0.0000 0.0000
Sc2 Sc 0.0000 0.5000 0.1920
Ga1 Ga 0.0000 0.5000 0.3572
Cu1 Cu 0.0000 0.0000 0.4326
```

Top 12 peaks for 2θ from 10° to 90°, sorted by position:
- hkl 0 0 4, 2θ 20.08, I = 16.4
- hkl 1 0 1, 2θ 27.01, I = 36.5
- hkl 1 1 2, 2θ 35.51, I = 100.0
- hkl 1 0 5, 2θ 36.89, I = 45.0
- hkl 1 1 4, 2θ 39.78, I = 29.4
- hkl 0 1 7, 2θ 41.54, I = 81.5
- hkl 0 2 0, 2θ 42.43, I = 47.1
- hkl 1 1 6, 2θ 46.17, I = 37.9
- hkl 2 0 0, 2θ 54.63, I = 21.3
- hkl 1 2 5, 2θ 57.46, I = 22.5
- hkl 2 1 7, 2θ 70.90, I = 30.1
- hkl 2 2 0, 2θ 71.52, I = 17.9

---

[10]
# ScGa2Cu9
Theoretical X-ray powder pattern, λ = 1.5418 Å (Cu Kα). Input: a crystal structure in Alexandria, relaxed with GGA-PBE.
Kinematic intensities with the Lorentz-polarization factor, no thermal factor.

```
data_ScGa2Cu9
_cell_length_a 4.9128
_cell_length_b 4.9128
_cell_length_c 23.8163
_cell_angle_alpha 90.00
_cell_angle_beta 90.00
_cell_angle_gamma 120.00
_symmetry_space_group_name_H-M 'R -3 m'
_symmetry_Int_Tables_number 166
_symmetry_space_group_name_Hall '-R 3 2"'
loop_
_atom_site_label
_atom_site_type_symbol
_atom_site_fract_x
_atom_site_fract_y
_atom_site_fract_z
Sc1 Sc 0.0000 0.0000 0.0000
Ga1 Ga 0.0000 0.0000 0.1401
Cu1 Cu 0.0000 0.0000 0.3338
Cu2 Cu 0.0000 0.0000 0.5000
Cu3 Cu 0.0049 0.5025 0.9144
```

Top 12 peaks for 2θ from 10° to 90°, sorted by position:
- hkl 1 0 1, 2θ 21.21, I = 19.7
- hkl 1 1 0, 2θ 36.58, I = 25.3
- hkl 0 1 8, 2θ 36.85, I = 17.2
- hkl 0 2 1, 2θ 42.67, I = 30.1
- hkl 1 1 6, 2θ 43.32, I = 100.0
- hkl 0 2 4, 2θ 45.27, I = 20.7
- hkl 0 0 12, 2θ 45.71, I = 23.1
- hkl 2 0 5, 2θ 46.77, I = 47.0
- hkl 0 1 11, 2θ 47.10, I = 22.8
- hkl 0 3 6, 2θ 70.51, I = 21.1
- hkl 1 2 11, 2θ 73.33, I = 11.7
- hkl 2 2 0, 2θ 77.76, I = 23.6

---

[11]
# Sc2Ga5Cu3
Theoretical X-ray powder pattern, λ = 1.5418 Å (Cu Kα). Input: a crystal structure in Alexandria, relaxed with GGA-PBE.
Kinematic intensities with the Lorentz-polarization factor, no thermal factor.

```
data_Sc2Ga5Cu3
_cell_length_a 4.1384
_cell_length_b 23.7438
_cell_length_c 6.5645
_cell_angle_alpha 90.00
_cell_angle_beta 90.00
_cell_angle_gamma 90.00
_symmetry_space_group_name_H-M 'C m c 21'
_symmetry_Int_Tables_number 36
loop_
_symmetry_equiv_pos_as_xyz
'x,y,z'
'-x,-y,z+1/2'
'-x,y,z'
'x,-y,z+1/2'
'x+1/2,y+1/2,z'
'-x+1/2,-y+1/2,z+1/2'
'-x+1/2,y+1/2,z'
'x+1/2,-y+1/2,z+1/2'
loop_
_atom_site_label
_atom_site_type_symbol
_atom_site_fract_x
_atom_site_fract_y
_atom_site_fract_z
Sc1 Sc 0.0000 0.0166 0.0000
Sc2 Sc 0.0000 0.3265 0.0215
Ga1 Ga 0.0000 0.1014 0.3378
Ga2 Ga 0.0000 0.2064 0.8222
Ga3 Ga 0.0000 0.2093 0.2329
Ga4 Ga 0.0000 0.3812 0.4974
Ga5 Ga 0.0000 0.4502 0.1782
Cu1 Cu 0.0000 0.1063 0.7304
Cu2 Cu 0.0000 0.2759 0.5297
Cu3 Cu 0.0000 0.4506 0.7875
```

Top 12 peaks for 2θ from 10° to 90°, sorted by position:
- hkl 1 3 2, 2θ 36.75, I = 100.0
- hkl 1 7 1, 2θ 36.90, I = 55.7
- hkl 0 10 1, 2θ 40.40, I = 16.0
- hkl 1 9 0, 2θ 40.55, I = 27.0
- hkl 2 0 0, 2θ 43.75, I = 54.0
- hkl 0 4 3, 2θ 44.14, I = 28.5
- hkl 1 11 0, 2θ 47.50, I = 16.7
- hkl 1 3 3, 2θ 48.44, I = 11.5
- hkl 1 9 2, 2θ 49.50, I = 40.4
- hkl 2 4 3, 2θ 63.87, I = 11.9
- hkl 1 13 3, 2θ 70.97, I = 18.3
- hkl 3 3 2, 2θ 75.76, I = 10.7

---

[12]
# SmScGa2Cu2
Theoretical X-ray powder pattern, λ = 1.5418 Å (Cu Kα). Input: a crystal structure in Alexandria, relaxed with GGA-PBE.
Kinematic intensities with the Lorentz-polarization factor, no thermal factor.

```
data_SmScGa2Cu2
_cell_length_a 4.3085
_cell_length_b 4.3085
_cell_length_c 6.9704
_cell_angle_alpha 90.00
_cell_angle_beta 90.00
_cell_angle_gamma 120.00
_symmetry_space_group_name_H-M 'P -3 m 1'
_symmetry_Int_Tables_number 164
_symmetry_space_group_name_Hall '-P 3 2"'
loop_
_atom_site_label
_atom_site_type_symbol
_atom_site_fract_x
_atom_site_fract_y
_atom_site_fract_z
Sm1 Sm 0.0000 0.0000 0.0000
Sc1 Sc 0.0000 0.0000 0.5000
Ga1 Ga 0.3333 0.6667 0.2871
Cu1 Cu 0.3333 0.6667 0.7001
```

Top 12 peaks for 2θ from 10° to 90°, sorted by position:
- hkl 0 1 1, 2θ 27.11, I = 40.3
- hkl 0 1 2, 2θ 35.24, I = 100.0
- hkl 0 0 3, 2θ 38.76, I = 12.4
- hkl 1 1 0, 2θ 41.94, I = 70.2
- hkl 2 0 1, 2θ 50.65, I = 7.5
- hkl 2 0 2, 2θ 55.90, I = 25.5
- hkl 1 1 3, 2θ 58.42, I = 25.8
- hkl 1 2 1, 2θ 67.80, I = 6.3
- hkl 1 1 4, 2θ 69.36, I = 13.8
- hkl 1 2 2, 2θ 72.29, I = 30.3
- hkl 3 0 0, 2θ 76.61, I = 11.0
- hkl 3 0 3, 2θ 89.35, I = 9.1